Record 1
La2Ti3AgO9: calculated PXRD pattern (copper Kα), based on a structure optimized by DFT (PBE).
Neutral-atom scattering factors, no anomalous dispersion.

Structural model:
Cell: 5.5676 5.5676 6.8039 Å, 90.00 90.00 120.00°
Fractional coordinates of all 15 atoms:
1 La 0.3333 0.6667 0.1733
2 La 0.6667 0.3333 0.8267
3 Ti 0.0000 0.0000 0.0000
4 Ti 0.3333 0.6667 0.6626
5 Ti 0.6667 0.3333 0.3374
6 Ag 0.0000 0.0000 0.5000
7 O 0.0000 0.5000 0.5000
8 O 0.1719 0.3439 0.8445
9 O 0.1719 0.8281 0.8445
10 O 0.3439 0.1719 0.1555
11 O 0.5000 0.0000 0.5000
12 O 0.5000 0.5000 0.5000
13 O 0.6561 0.8281 0.8445
14 O 0.8281 0.1719 0.1555
15 O 0.8281 0.6561 0.1555

Largest 12 diffraction maxima, by angle, 2θ from 10° to 90°:
| 2θ/deg | d [Å] | intensity |
| --- | --- | --- |
| 22.60 | 3.934 | 19 |
| 32.18 | 2.782 | 100 |
| 39.68 | 2.271 | 25 |
| 46.15 | 1.967 | 34 |
| 51.98 | 1.759 | 10 |
| 57.35 | 1.607 | 28 |
| 57.45 | 1.604 | 9 |
| 67.26 | 1.392 | 10 |
| 67.38 | 1.390 | 10 |
| 76.59 | 1.244 | 16 |
| 81.04 | 1.187 | 6 |
| 85.45 | 1.136 | 5 |



Record 2
LaAgPb: calculated PXRD pattern (copper Kα), based on a structure optimized by DFT (PBE).
Neutral-atom scattering factors, no anomalous dispersion.

Structural model:
Cell: 4.9558 4.9558 7.9203 Å, 90.00 90.00 120.00°
Fractional coordinates of all 6 atoms:
1 La 0.0000 0.0000 0.0000
2 La 0.0000 0.0000 0.5000
3 Ag 0.3333 0.6667 0.1962
4 Ag 0.6667 0.3333 0.6962
5 Pb 0.3333 0.6667 0.7828
6 Pb 0.6667 0.3333 0.2828

Largest 12 diffraction maxima, by angle, 2θ from 10° to 90°:
| 2θ/deg | d [Å] | intensity |
| --- | --- | --- |
| 23.58 | 3.773 | 28 |
| 30.72 | 2.910 | 100 |
| 36.25 | 2.478 | 88 |
| 40.10 | 2.249 | 28 |
| 48.23 | 1.887 | 29 |
| 55.16 | 1.665 | 11 |
| 59.78 | 1.547 | 19 |
| 61.80 | 1.501 | 27 |
| 62.50 | 1.486 | 13 |
| 65.21 | 1.431 | 16 |
| 67.80 | 1.382 | 12 |
| 85.10 | 1.140 | 11 |



Record 3
LaAgPb: calculated PXRD pattern (copper Kα), based on a structure optimized by DFT (PBE).
Neutral-atom scattering factors, no anomalous dispersion.

Structural model:
Cell: 8.6942 4.9402 8.3465 Å, 90.00 90.26 90.00°
Fractional coordinates of all 12 atoms:
1 La 0.0006 0.0000 0.2260
2 La 0.4994 0.5000 0.7740
3 La 0.5006 0.5000 0.2260
4 La 0.9994 0.0000 0.7740
5 Ag 0.1659 0.5000 0.9866
6 Ag 0.3341 0.0000 0.0134
7 Ag 0.6659 0.0000 0.9866
8 Ag 0.8341 0.5000 0.0134
9 Pb 0.1673 0.5000 0.5528
10 Pb 0.3327 0.0000 0.4472
11 Pb 0.6673 0.0000 0.5528
12 Pb 0.8327 0.5000 0.4472

Largest 12 diffraction maxima, by angle, 2θ from 10° to 90°:
| 2θ/deg | d [Å] | intensity |
| --- | --- | --- |
| 21.29 | 4.173 | 12 |
| 23.27 | 3.823 | 15 |
| 29.79 | 2.999 | 100 |
| 29.88 | 2.990 | 16 |
| 35.93 | 2.500 | 65 |
| 36.37 | 2.470 | 31 |
| 38.60 | 2.333 | 14 |
| 47.05 | 1.931 | 10 |
| 47.65 | 1.909 | 23 |
| 59.39 | 1.556 | 10 |
| 61.45 | 1.509 | 11 |
| 65.16 | 1.432 | 11 |



Record 4
LaRe2Ag: calculated PXRD pattern (copper Kα), based on a structure optimized by DFT (PBE).
Neutral-atom scattering factors, no anomalous dispersion.

Structural model:
Cell: 6.7658 6.7658 6.7658 Å, 90.00 90.00 90.00°
Fractional coordinates of all 16 atoms:
1 La 0.0000 0.0000 0.0000
2 La 0.0000 0.5000 0.5000
3 La 0.5000 0.0000 0.5000
4 La 0.5000 0.5000 0.0000
5 Re 0.0000 0.0000 0.5000
6 Re 0.0000 0.5000 0.0000
7 Re 0.2500 0.2500 0.2500
8 Re 0.2500 0.7500 0.7500
9 Re 0.5000 0.0000 0.0000
10 Re 0.5000 0.5000 0.5000
11 Re 0.7500 0.2500 0.7500
12 Re 0.7500 0.7500 0.2500
13 Ag 0.2500 0.2500 0.7500
14 Ag 0.2500 0.7500 0.2500
15 Ag 0.7500 0.2500 0.2500
16 Ag 0.7500 0.7500 0.7500

Largest 9 diffraction maxima, by angle, 2θ from 10° to 90°:
| 2θ/deg | d [Å] | intensity |
| --- | --- | --- |
| 22.76 | 3.906 | 4 |
| 37.60 | 2.392 | 100 |
| 44.41 | 2.040 | 3 |
| 54.23 | 1.691 | 17 |
| 59.56 | 1.552 | 1 |
| 67.86 | 1.381 | 35 |
| 72.61 | 1.302 | 1 |
| 80.27 | 1.196 | 11 |
| 84.77 | 1.144 | 1 |



Record 5
La5AgS8: calculated PXRD pattern (copper Kα), based on a structure optimized by DFT (PBE).
Neutral-atom scattering factors, no anomalous dispersion.

Structural model:
Cell: 7.5586 7.5586 7.5586 Å, 109.73 109.73 108.96°
Fractional coordinates of all 14 atoms:
1 La 0.0000 0.0000 0.0000
2 La 0.1321 0.2473 0.6171
3 La 0.4850 0.8679 0.1152
4 La 0.6302 0.5150 0.3829
5 La 0.7527 0.3698 0.8848
6 Ag 0.2500 0.7500 0.5000
7 S 0.0123 0.6172 0.7596
8 S 0.2280 0.4762 0.1100
9 S 0.3662 0.1180 0.8900
10 S 0.3828 0.1424 0.3951
11 S 0.5238 0.6338 0.7519
12 S 0.7473 0.9877 0.6049
13 S 0.8576 0.2527 0.2404
14 S 0.8820 0.7720 0.2481

Largest 12 diffraction maxima, by angle, 2θ from 10° to 90°:
| 2θ/deg | d [Å] | intensity |
| --- | --- | --- |
| 24.91 | 3.574 | 53 |
| 25.03 | 3.557 | 91 |
| 32.26 | 2.775 | 46 |
| 32.53 | 2.753 | 100 |
| 38.48 | 2.339 | 31 |
| 38.66 | 2.329 | 57 |
| 46.32 | 1.960 | 21 |
| 46.64 | 1.947 | 36 |
| 48.91 | 1.862 | 28 |
| 53.71 | 1.707 | 22 |
| 66.10 | 1.413 | 20 |
| 81.15 | 1.185 | 16 |



Record 6
La3SiAgS7: calculated PXRD pattern (copper Kα), based on a structure optimized by DFT (PBE).
Neutral-atom scattering factors, no anomalous dispersion.

Structural model:
Cell: 10.4935 10.4935 5.8368 Å, 90.00 90.00 120.00°
Fractional coordinates of all 24 atoms:
1 La 0.1214 0.3593 0.0000
2 La 0.2379 0.8786 0.0000
3 La 0.3593 0.2379 0.5000
4 La 0.6407 0.7621 0.0000
5 La 0.7621 0.1214 0.5000
6 La 0.8786 0.6407 0.5000
7 Si 0.3333 0.6667 0.5885
8 Si 0.6667 0.3333 0.0885
9 Ag 0.0000 0.0000 0.4545
10 Ag 0.0000 0.0000 0.9545
11 S 0.0879 0.2652 0.4865
12 S 0.1186 0.5932 0.7312
13 S 0.1773 0.9121 0.4865
14 S 0.2652 0.1773 0.9865
15 S 0.3333 0.6667 0.2259
16 S 0.4068 0.5254 0.7312
17 S 0.4746 0.8814 0.7312
18 S 0.5254 0.1186 0.2312
19 S 0.5932 0.4746 0.2312
20 S 0.6667 0.3333 0.7259
21 S 0.7348 0.8227 0.4865
22 S 0.8227 0.0879 0.9865
23 S 0.8814 0.4068 0.2312
24 S 0.9121 0.7348 0.9865

Largest 12 diffraction maxima, by angle, 2θ from 10° to 90°:
| 2θ/deg | d [Å] | intensity |
| --- | --- | --- |
| 18.06 | 4.911 | 30 |
| 22.79 | 3.902 | 50 |
| 24.83 | 3.585 | 100 |
| 25.94 | 3.435 | 68 |
| 30.63 | 2.918 | 39 |
| 32.22 | 2.779 | 43 |
| 34.18 | 2.623 | 54 |
| 35.62 | 2.520 | 83 |
| 38.92 | 2.314 | 56 |
| 40.56 | 2.224 | 81 |
| 46.55 | 1.951 | 30 |
| 47.67 | 1.908 | 42 |



Record 7
LaAgSb2: calculated PXRD pattern (copper Kα), based on a structure optimized by DFT (PBE).
Neutral-atom scattering factors, no anomalous dispersion.

Structural model:
Cell: 4.4402 4.4402 10.9532 Å, 90.00 90.00 90.00°
Fractional coordinates of all 8 atoms:
1 La 0.2500 0.2500 0.2395
2 La 0.7500 0.7500 0.7605
3 Ag 0.2500 0.7500 0.5000
4 Ag 0.7500 0.2500 0.5000
5 Sb 0.2500 0.2500 0.6715
6 Sb 0.2500 0.7500 0.0000
7 Sb 0.7500 0.2500 0.0000
8 Sb 0.7500 0.7500 0.3285

Largest 12 diffraction maxima, by angle, 2θ from 10° to 90°:
| 2θ/deg | d [Å] | intensity |
| --- | --- | --- |
| 25.83 | 3.449 | 14 |
| 31.73 | 2.820 | 9 |
| 32.70 | 2.738 | 14 |
| 32.88 | 2.724 | 100 |
| 38.63 | 2.331 | 7 |
| 40.64 | 2.220 | 35 |
| 46.21 | 1.965 | 10 |
| 53.11 | 1.725 | 13 |
| 58.82 | 1.570 | 12 |
| 63.20 | 1.471 | 8 |
| 68.95 | 1.362 | 6 |
| 69.06 | 1.360 | 22 |



Record 8
LaSiAg: calculated PXRD pattern (copper Kα), based on a structure optimized by DFT (PBE).
Neutral-atom scattering factors, no anomalous dispersion.

Structural model:
Cell: 4.4238 4.4238 4.2261 Å, 90.00 90.00 120.00°
Fractional coordinates of all 3 atoms:
1 La 0.0000 0.0000 0.0000
2 Si 0.6667 0.3333 0.5000
3 Ag 0.3333 0.6667 0.5000

Largest 12 diffraction maxima, by angle, 2θ from 10° to 90°:
| 2θ/deg | d [Å] | intensity |
| --- | --- | --- |
| 23.22 | 3.831 | 21 |
| 31.52 | 2.838 | 100 |
| 40.80 | 2.212 | 39 |
| 42.80 | 2.113 | 11 |
| 49.25 | 1.850 | 6 |
| 52.45 | 1.745 | 23 |
| 60.60 | 1.528 | 24 |
| 68.50 | 1.370 | 20 |
| 71.34 | 1.322 | 9 |
| 74.27 | 1.277 | 6 |
| 85.58 | 1.135 | 6 |
| 89.72 | 1.093 | 8 |